KCr4O8: computed X-ray powder pattern (copper Kα), based on a cell relaxed with PBE+U.
No peak broadening, texture or thermal motion is included.

Main lines, in order of rising 2θ (2θ from 10° to 90°):
2θ/deg, d [Å], intensity
12.58, 7.037, 33
17.82, 4.976, 36
25.31, 3.519, 13
28.36, 3.147, 100
36.08, 2.490, 89
40.52, 2.226, 51
48.38, 1.882, 40
55.39, 1.659, 27
58.65, 1.574, 46
67.90, 1.380, 33

Atomic structure:
```
KCr4O8
1.0
-4.9761 4.9761 1.5019
4.9761 -4.9761 1.5019
4.9761 4.9761 -1.5019
K Cr O
1 4 8
direct
0.0000 0.0000 0.0000 K
0.1523 0.3359 0.4882 Cr
0.3359 0.8477 0.1836 Cr
0.6641 0.1523 0.8164 Cr
0.8477 0.6641 0.5118 Cr
0.0391 0.6628 0.7018 O
0.2972 0.6546 0.9518 O
0.3372 0.0391 0.3763 O
0.3454 0.2972 0.6427 O
0.6546 0.7028 0.3573 O
0.6628 0.9609 0.6237 O
0.7028 0.3454 0.0482 O
0.9609 0.3372 0.2982 O
```


KCrO2: computed X-ray powder pattern (copper Kα), based on a cell relaxed with PBE+U.
No peak broadening, texture or thermal motion is included.

Main lines, in order of rising 2θ (2θ from 10° to 90°):
2θ/deg, d [Å], intensity
14.75, 6.006, 33
29.75, 3.003, 39
34.01, 2.636, 11
36.46, 2.464, 100
40.27, 2.240, 66
45.14, 2.009, 21
57.27, 1.609, 42
59.23, 1.560, 36
67.68, 1.384, 19
71.59, 1.318, 12

Atomic structure:
```
KCrO2
1.0
3.1199 0.0000 0.0000
-1.5599 2.7019 0.0000
0.0000 0.0000 12.0122
K Cr O
2 2 4
direct
0.3333 0.6667 0.2500 K
0.6667 0.3333 0.7500 K
0.0000 0.0000 0.0000 Cr
0.0000 0.0000 0.5000 Cr
0.3333 0.6667 0.5857 O
0.3333 0.6667 0.9143 O
0.6667 0.3333 0.0857 O
0.6667 0.3333 0.4143 O
```


K2Cr4O13: computed X-ray powder pattern (copper Kα), based on a cell relaxed with PBE+U.
No peak broadening, texture or thermal motion is included.

Main lines, in order of rising 2θ (2θ from 10° to 90°):
2θ/deg, d [Å], intensity
14.74, 6.011, 38
15.11, 5.863, 28
21.55, 4.124, 21
21.89, 4.060, 56
22.95, 3.875, 35
24.45, 3.641, 100
26.58, 3.354, 98
29.00, 3.079, 42
29.87, 2.992, 51
39.56, 2.278, 40

Atomic structure:
```
K2Cr4O13
1.0
8.9870 0.0000 0.0000
0.0000 7.7430 0.0000
-0.4916 0.0000 9.5356
K Cr O
4 8 26
direct
0.0000 0.0924 0.0000 K
0.0000 0.9076 0.5000 K
0.7519 0.3957 0.3581 K
0.7519 0.6043 0.8581 K
0.0612 0.4303 0.6253 Cr
0.0612 0.5697 0.1253 Cr
0.3726 0.0790 0.7667 Cr
0.3726 0.9210 0.2667 Cr
0.3836 0.3874 0.0106 Cr
0.3836 0.6126 0.5106 Cr
0.7174 0.0788 0.7260 Cr
0.7174 0.9212 0.2260 Cr
0.0416 0.2765 0.5101 O
0.0416 0.7235 0.0101 O
0.0737 0.3496 0.7827 O
0.0737 0.6504 0.2827 O
0.2238 0.4347 0.0958 O
0.2238 0.5653 0.5958 O
0.2367 0.0540 0.2406 O
0.2367 0.9460 0.7406 O
0.3588 0.1787 0.9329 O
0.3588 0.8213 0.4329 O
0.3674 0.2218 0.6462 O
0.3674 0.7782 0.1462 O
0.4157 0.4738 0.3924 O
0.4157 0.5262 0.8924 O
0.5259 0.3798 0.1189 O
0.5259 0.6202 0.6189 O
0.5413 0.0298 0.2617 O
0.5413 0.9702 0.7617 O
0.7145 0.1407 0.5637 O
0.7145 0.8593 0.0637 O
0.7397 0.2425 0.8318 O
0.7397 0.7575 0.3318 O
0.8521 0.0607 0.2558 O
0.8521 0.9393 0.7558 O
0.9162 0.4419 0.1091 O
0.9162 0.5581 0.6091 O
```


K3CrO4: computed X-ray powder pattern (copper Kα), based on a cell relaxed with PBE+U.
No peak broadening, texture or thermal motion is included.

Main lines, in order of rising 2θ (2θ from 10° to 90°):
2θ/deg, d [Å], intensity
18.44, 4.812, 41
29.32, 3.046, 100
30.64, 2.918, 69
31.01, 2.884, 72
38.52, 2.337, 25
41.38, 2.182, 26
42.51, 2.126, 24
47.53, 1.913, 15
53.31, 1.719, 24
60.97, 1.520, 16

Atomic structure:
```
K3CrO4
1.0
7.8489 0.0000 0.0000
0.0000 8.7279 0.0000
0.0000 0.0000 8.5055
K Cr O
12 4 16
direct
0.0411 0.0281 0.2247 K
0.0411 0.4719 0.2247 K
0.1740 0.7500 0.4757 K
0.3260 0.2500 0.9757 K
0.4589 0.5281 0.7247 K
0.4589 0.9719 0.7247 K
0.5411 0.0281 0.2753 K
0.5411 0.4719 0.2753 K
0.6740 0.7500 0.0243 K
0.8260 0.2500 0.5243 K
0.9589 0.5281 0.7753 K
0.9589 0.9719 0.7753 K
0.2225 0.7500 0.9888 Cr
0.2775 0.2500 0.4888 Cr
0.7225 0.7500 0.5112 Cr
0.7775 0.2500 0.0112 Cr
0.0180 0.7500 0.0681 O
0.1783 0.0819 0.5435 O
0.1783 0.4181 0.5435 O
0.2135 0.7500 0.7838 O
0.2865 0.2500 0.2838 O
0.3217 0.5819 0.0435 O
0.3217 0.9181 0.0435 O
0.4820 0.2500 0.5681 O
0.5180 0.7500 0.4319 O
0.6783 0.0819 0.9565 O
0.6783 0.4181 0.9565 O
0.7135 0.7500 0.7162 O
0.7865 0.2500 0.2162 O
0.8217 0.5819 0.4565 O
0.8217 0.9181 0.4565 O
0.9820 0.2500 0.9319 O
```


K2CrP2O7: computed X-ray powder pattern (copper Kα), based on a cell relaxed with PBE+U.
No peak broadening, texture or thermal motion is included.

Main lines, in order of rising 2θ (2θ from 10° to 90°):
2θ/deg, d [Å], intensity
13.51, 6.556, 30
20.27, 4.381, 28
25.68, 3.469, 38
27.20, 3.278, 34
29.13, 3.066, 72
31.67, 2.826, 100
41.21, 2.191, 57
52.92, 1.730, 25
65.88, 1.418, 22
66.14, 1.413, 23

Atomic structure:
```
K2CrP2O7
1.0
2.8255 1.6313 6.5562
-2.8255 1.6313 6.5562
0.0000 -3.2626 6.5562
K Cr P O
2 1 2 7
direct
0.2427 0.2427 0.2427 K
0.7573 0.7573 0.7573 K
0.0000 0.0000 0.0000 Cr
0.4178 0.4178 0.4178 P
0.5822 0.5822 0.5822 P
0.2467 0.2467 0.7005 O
0.2467 0.7005 0.2467 O
0.2995 0.7533 0.7533 O
0.5000 0.5000 0.5000 O
0.7005 0.2467 0.2467 O
0.7533 0.2995 0.7533 O
0.7533 0.7533 0.2995 O
```


Number 5 is which compound?
K2CrP2O7


Which formula does entry 1 have?
KCr4O8